Entry 1:
This entry pairs a crystal structure of Ga2Pd2W with its calculated XRD peak list. Radiation: Cu Kα X-rays. Structure: a crystal structure in Alexandria, relaxed with GGA-PBE.
Kinematic intensities with the Lorentz-polarization factor, no thermal factor.

Cell and atoms:
Unit cell a=7.337 b=7.337 c=2.830 alpha=90.00 beta=90.00 gamma=90.00
Space group P4/mbm (No. 127)
One atom of each set of equivalent atoms:
Ga (0.148, 0.352, 0.000) x4
Pd (0.152, 0.652, 0.500) x4
W (0.000, 0.000, 0.000) x2

Top 12 peaks for 2θ = 10–80°, low angle first:
34.6°, intensity 22; 36.2°, intensity 33; 38.8°, intensity 100; 40.2°, intensity 27; 42.2°, intensity 83; 47.5°, intensity 11; 50.9°, intensity 13; 56.1°, intensity 17; 63.0°, intensity 10; 66.0°, intensity 10; 77.8°, intensity 20; 79.3°, intensity 25

---

Entry 2:
This entry pairs a crystal structure of ErMg8Cd4 with its calculated XRD peak list. Radiation: Cu Kα X-rays. Structure: a crystal structure in Alexandria, relaxed with GGA-PBE.
Kinematic intensities with the Lorentz-polarization factor, no thermal factor.

Cell and atoms:
Unit cell a=9.989 b=9.989 c=5.905 alpha=90.00 beta=90.00 gamma=90.00
Space group I4/mmm (No. 139)
One atom of each set of equivalent atoms:
Er (0.000, 0.000, 0.000) x2
Mg (0.000, 0.212, 0.500) x8
Mg (0.000, 0.349, 0.000) x8
Cd (0.250, 0.250, 0.250) x8

Top 12 peaks for 2θ = 10–80°, low angle first:
12.5°, intensity 21; 17.8°, intensity 40; 25.0°, intensity 25; 25.2°, intensity 67; 30.8°, intensity 20; 35.3°, intensity 100; 35.8°, intensity 34; 36.0°, intensity 55; 39.8°, intensity 28; 40.4°, intensity 21; 51.3°, intensity 46; 64.2°, intensity 22

---

Entry 3:
This entry pairs a crystal structure of BaErIn4O8 with its calculated XRD peak list. Radiation: Cu Kα X-rays. Structure: a crystal structure in Alexandria, relaxed with GGA-PBE.
Kinematic intensities with the Lorentz-polarization factor, no thermal factor.

Cell and atoms:
Unit cell a=6.8164 b=6.8164 c=16.8384 alpha=90.00 beta=90.00 gamma=120.00
Space group R3m (No. 160, hexagonal axes)
One atom of each set of equivalent atoms:
Ba (0.0000, 0.0000, 0.0000) x3
Er (0.0000, 0.0000, 0.6264) x3
In (0.0000, 0.0000, 0.2490) x3
In (0.1686, 0.3371, 0.4575) x9
O (0.0000, 0.0000, 0.3891) x3
O (0.0000, 0.0000, 0.8525) x3
O (0.0572, 0.5286, 0.3823) x9
O (0.1796, 0.3592, 0.2030) x9

Top 12 peaks for 2θ = 10–80°, low angle first:
15.9°, intensity 15; 26.0°, intensity 13; 26.1°, intensity 26; 30.6°, intensity 40; 30.7°, intensity 100; 32.1°, intensity 26; 37.2°, intensity 17; 49.0°, intensity 46; 53.5°, intensity 28; 53.8°, intensity 28; 63.1°, intensity 10; 75.7°, intensity 16

---

Entry 4:
This entry pairs a crystal structure of Cs6Ba with its calculated XRD peak list. Radiation: Cu Kα X-rays. Structure: a crystal structure in Alexandria, relaxed with GGA-PBE.
Kinematic intensities with the Lorentz-polarization factor, no thermal factor.

Cell and atoms:
Unit cell a=12.672 b=12.672 c=12.672 alpha=90.00 beta=90.00 gamma=90.00
Space group Im-3m (No. 229)
One atom of each set of equivalent atoms:
Cs (0.000, 0.250, 0.500) x12
Ba (0.000, 0.000, 0.000) x2

Top 12 peaks for 2θ = 10–80°, low angle first:
14.0°, intensity 40; 17.1°, intensity 100; 24.3°, intensity 40; 26.3°, intensity 72; 28.2°, intensity 41; 31.6°, intensity 22; 33.2°, intensity 20; 38.9°, intensity 25; 40.3°, intensity 31; 44.1°, intensity 26; 47.6°, intensity 19; 53.1°, intensity 20

---

Entry 5:
This entry pairs a crystal structure of La3Pm3In with its calculated XRD peak list. Radiation: Cu Kα X-rays. Structure: a crystal structure in Alexandria, relaxed with GGA-PBE.
Kinematic intensities with the Lorentz-polarization factor, no thermal factor.

Cell and atoms:
Unit cell a=8.669 b=8.673 c=8.931 alpha=60.98 beta=61.01 gamma=60.09
Space group P-1 (No. 2)
One atom of each set of equivalent atoms:
La (0.054, 0.081, 0.157) x2
La (0.208, 0.554, 0.157) x2
La (0.419, 0.292, 0.843) x2
Pm (0.207, 0.196, 0.667) x2
Pm (0.304, 0.069, 0.333) x2
Pm (0.430, 0.707, 0.667) x2
In (0.162, 0.662, 0.514) x2

Top 12 peaks for 2θ = 10–80°, low angle first:
20.5°, intensity 10; 23.8°, intensity 9; 28.7°, intensity 14; 30.6°, intensity 10; 31.2°, intensity 12; 31.8°, intensity 100; 32.5°, intensity 25; 35.5°, intensity 12; 37.6°, intensity 12; 52.6°, intensity 11; 53.9°, intensity 12; 57.3°, intensity 9

---

Entry 6:
This entry pairs a crystal structure of LaTiCu with its calculated XRD peak list. Radiation: Cu Kα X-rays. Structure: a crystal structure in Alexandria, relaxed with GGA-PBE.
Kinematic intensities with the Lorentz-polarization factor, no thermal factor.

Cell and atoms:
Unit cell a=10.728 b=4.422 c=6.432 alpha=90.00 beta=122.44 gamma=90.00
Space group Cm (No. 8)
One atom of each set of equivalent atoms:
La (0.000, 0.000, 0.000) x2
La (0.146, 0.500, 0.825) x2
Ti (0.226, 0.500, 0.399) x2
Ti (0.357, 0.000, 0.284) x2
Cu (0.002, 0.000, 0.448) x2
Cu (0.285, 0.000, 0.643) x2

Top 12 peaks for 2θ = 10–80°, low angle first:
24.4°, intensity 38; 31.8°, intensity 29; 32.2°, intensity 29; 35.4°, intensity 100; 35.5°, intensity 45; 36.0°, intensity 90; 36.6°, intensity 14; 40.8°, intensity 42; 47.4°, intensity 14; 52.7°, intensity 14; 55.2°, intensity 24; 61.1°, intensity 12

---

Entry 7:
This entry pairs a crystal structure of Tm2ZnSi3 with its calculated XRD peak list. Radiation: Cu Kα X-rays. Structure: a crystal structure in Alexandria, relaxed with GGA-PBE.
Kinematic intensities with the Lorentz-polarization factor, no thermal factor.

Cell and atoms:
Unit cell a=3.987 b=4.039 c=13.873 alpha=90.00 beta=90.00 gamma=90.00
Space group Imm2 (No. 44)
One atom of each set of equivalent atoms:
Tm (0.000, 0.000, 0.000) x2
Tm (0.000, 0.500, 0.261) x2
Zn (0.000, 0.000, 0.592) x2
Si (0.000, 0.000, 0.425) x2
Si (0.000, 0.500, 0.673) x2
Si (0.000, 0.500, 0.839) x2

Top 12 peaks for 2θ = 10–80°, low angle first:
22.9°, intensity 22; 25.7°, intensity 19; 29.4°, intensity 15; 29.6°, intensity 36; 34.1°, intensity 100; 39.4°, intensity 29; 39.6°, intensity 15; 44.9°, intensity 16; 45.5°, intensity 16; 51.5°, intensity 17; 54.7°, intensity 13; 61.7°, intensity 15

---

Entry 8:
This entry pairs a crystal structure of LiZnCuF6 with its calculated XRD peak list. Radiation: Cu Kα X-rays. Structure: a crystal structure in Alexandria, relaxed with GGA-PBE.
Kinematic intensities with the Lorentz-polarization factor, no thermal factor.

Cell and atoms:
Unit cell a=4.690 b=4.690 c=9.199 alpha=90.00 beta=90.00 gamma=90.00
Space group P4_2nm (No. 102)
One atom of each set of equivalent atoms:
Li (0.000, 0.000, 0.000) x2
Zn (0.000, 0.000, 0.669) x2
Cu (0.000, 0.000, 0.333) x2
F (0.191, 0.191, 0.492) x4
F (0.192, 0.192, 0.174) x4
F (0.208, 0.208, 0.833) x4

Top 12 peaks for 2θ = 10–80°, low angle first:
19.3°, intensity 22; 21.3°, intensity 62; 26.9°, intensity 100; 33.3°, intensity 20; 35.0°, intensity 45; 40.0°, intensity 28; 43.1°, intensity 9; 44.3°, intensity 16; 52.9°, intensity 68; 55.4°, intensity 22; 60.4°, intensity 11; 67.2°, intensity 40

---

Please write out number 6 again, unchanged.
This entry pairs a crystal structure of LaTiCu with its calculated XRD peak list. Radiation: Cu Kα X-rays. Structure: a crystal structure in Alexandria, relaxed with GGA-PBE.
Kinematic intensities with the Lorentz-polarization factor, no thermal factor.

Cell and atoms:
Unit cell a=10.728 b=4.422 c=6.432 alpha=90.00 beta=122.44 gamma=90.00
Space group Cm (No. 8)
One atom of each set of equivalent atoms:
La (0.000, 0.000, 0.000) x2
La (0.146, 0.500, 0.825) x2
Ti (0.226, 0.500, 0.399) x2
Ti (0.357, 0.000, 0.284) x2
Cu (0.002, 0.000, 0.448) x2
Cu (0.285, 0.000, 0.643) x2

Top 12 peaks for 2θ = 10–80°, low angle first:
24.4°, intensity 38; 31.8°, intensity 29; 32.2°, intensity 29; 35.4°, intensity 100; 35.5°, intensity 45; 36.0°, intensity 90; 36.6°, intensity 14; 40.8°, intensity 42; 47.4°, intensity 14; 52.7°, intensity 14; 55.2°, intensity 24; 61.1°, intensity 12